Structure and theoretical XRD peak list of Ce5Ge4H (the PBE geometry in Alexandria; Cu Kα (λ = 1.5418 Å)).

Structure:
```
data_Ce5Ge4H
_chemical_formula_sum 'Ce10 Ge8 H2'
_cell_length_a 9.314
_cell_length_b 9.314
_cell_length_c 5.946
_cell_angle_alpha 90.00
_cell_angle_beta 90.00
_cell_angle_gamma 90.00
_space_group_name_H-M_alt 'I 4'
_space_group_IT_number 79
loop_
_space_group_symop_operation_xyz
'x,y,z'
'-y,x,z'
'-x,-y,z'
'y,-x,z'
'x+1/2,y+1/2,z+1/2'
'-y+1/2,x+1/2,z+1/2'
'-x+1/2,-y+1/2,z+1/2'
'y+1/2,-x+1/2,z+1/2'
loop_
_atom_site_label
_atom_site_type_symbol
_atom_site_fract_x
_atom_site_fract_y
_atom_site_fract_z
Ce1 Ce 0.000 0.000 0.000
Ce2 Ce 0.098 0.294 0.472
Ge1 Ge 0.097 0.299 0.970
H1 H 0.000 0.000 0.436
```

Principal peaks in the range 10° ≤ 2θ ≤ 90°, by angle:
Position (°2θ)	d [Å]	I_rel
26.12	3.412	47
30.06	2.973	50
30.35	2.945	100
43.24	2.092	75
43.45	2.083	37
53.74	1.706	38